Structure and theoretical powder diffraction line list of NbTlO4 (a structure optimized by DFT (GGA-PBE); λ = 1.5418 Å (Cu Kα)).

Atomic structure:
Cell: 5.053 5.956 10.929 Å, 90.00 90.00 90.00°
Sites, in units of the cell vectors:
Nb  0.000  0.131  0.250
Nb  0.000  0.869  0.750
Nb  0.500  0.369  0.750
Nb  0.500  0.631  0.250
Tl  0.000  0.500  0.000
Tl  0.000  0.500  0.500
Tl  0.500  0.000  0.000
Tl  0.500  0.000  0.500
O  0.174  0.206  0.092
O  0.174  0.794  0.592
O  0.242  0.434  0.314
O  0.242  0.566  0.814
O  0.258  0.066  0.814
O  0.258  0.934  0.314
O  0.326  0.294  0.592
O  0.326  0.706  0.092
O  0.674  0.294  0.908
O  0.674  0.706  0.408
O  0.742  0.066  0.686
O  0.742  0.934  0.186
O  0.758  0.434  0.186
O  0.758  0.566  0.686
O  0.826  0.206  0.408
O  0.826  0.794  0.908

Principal peaks in the range 5° ≤ 2θ ≤ 70°, sorted by position:
2θ 23.1, intensity 20, (1 1 0); 2θ 28.3, intensity 100, (1 1 2); 2θ 32.8, intensity 18, (0 0 4); 2θ 34.3, intensity 14, (0 2 2); 2θ 49.1, intensity 15, (2 0 4); 2θ 50.2, intensity 16, (2 2 2); 2θ 55.8, intensity 17, (1 1 6); 2θ 59.5, intensity 19, (3 1 2)